No. 1
AcTl2F11: calculated XRD peak list (copper Kα), based on a DFT-relaxed cell (PBE, Alexandria).

Structure:
```
28
Lattice="-4.4037 5.4800 5.8435 4.4037 -5.4800 5.8435 4.4037 5.4800 -5.8435" Properties=species:S:1:pos:R:3 pbc="T T T"
Ac 0.0000 0.0000 2.9218
Ac 0.0000 0.0000 8.7653
Tl 6.4331 2.5665 0.0000
Tl 2.0294 2.9135 0.0000
Tl 2.3743 2.5665 5.8435
Tl -2.0294 2.9135 5.8435
F 4.4037 0.0000 0.0000
F 1.6462 -1.2335 1.4809
F 1.2198 1.6455 -1.4985
F 4.1618 1.7004 0.0000
F 5.6235 3.8345 -1.4985
F 7.1611 1.2335 1.4809
F 2.7575 4.2465 -1.4809
F 1.2198 1.6455 1.4985
F 4.1618 -1.7004 5.8435
F 5.6235 3.8345 1.4985
F 1.6462 1.2335 4.3626
F 0.0000 5.4800 0.0000
F 2.7575 4.2465 1.4809
F -1.2198 1.6455 4.3450
F 0.2418 7.1804 0.0000
F 3.1839 3.8345 4.3450
F 1.6462 1.2335 7.3244
F -2.7575 4.2465 4.3626
F -1.2198 1.6455 7.3420
F 0.2418 3.7796 5.8435
F 3.1839 3.8345 7.3420
F 2.7575 6.7135 4.3626
```

Largest 10 diffraction maxima, by angle, 2θ from 10° to 90°:
two_theta, I/Imax
12.89, 48
19.95, 52
22.24, 100
25.32, 59
25.96, 68
30.60, 25
40.55, 44
41.79, 37
45.38, 28
47.12, 24



No. 2
TaTiAlC: calculated XRD peak list (copper Kα), based on a DFT-relaxed cell (PBE, Alexandria).

Structure:
```
8
Lattice="3.0860 0.0000 0.0000 -1.5430 2.6726 0.0000 0.0000 0.0000 13.8607" Properties=species:S:1:pos:R:3 pbc="T T T"
Ta 0.0000 1.7817 5.6784
Ta 1.5430 0.8909 8.1823
Ti 0.0000 1.7817 1.1435
Ti 1.5430 0.8909 12.7172
Al 0.0000 1.7817 10.4584
Al 1.5430 0.8909 3.4023
C 0.0000 0.0000 0.0000
C 0.0000 0.0000 6.9303
```

Largest 10 diffraction maxima, by angle, 2θ from 10° to 90°:
two_theta, I/Imax
12.77, 32
33.53, 18
34.17, 24
36.02, 26
38.94, 100
42.73, 15
52.35, 14
59.95, 17
70.58, 13
73.84, 27



No. 3
CsNbAgO4: calculated XRD peak list (copper Kα), based on a DFT-relaxed cell (PBE, Alexandria).

Structure:
```
14
Lattice="6.6614 0.0000 0.0000 0.0000 6.6614 0.0000 0.0000 0.0000 7.3347" Properties=species:S:1:pos:R:3 pbc="T T T"
Cs 0.0000 0.0000 0.0000
Cs 3.3307 3.3307 3.6674
Nb 0.0000 3.3307 1.8337
Nb 3.3307 0.0000 5.5010
Ag 0.0000 0.0000 3.6674
Ag 3.3307 3.3307 0.0000
O 0.6664 4.7328 2.8930
O 1.4021 2.6643 0.7744
O 1.9286 0.6664 4.4417
O 2.6643 5.2593 6.5603
O 3.9971 1.4021 6.5603
O 4.7328 5.9950 4.4417
O 5.2593 3.9971 0.7744
O 5.9950 1.9286 2.8930
```

Largest 10 diffraction maxima, by angle, 2θ from 10° to 90°:
two_theta, I/Imax
17.99, 49
18.84, 26
26.77, 65
30.90, 100
32.44, 15
38.21, 25
49.93, 52
57.36, 18
62.34, 15
77.57, 13



No. 4
Ho2P3Pt9: calculated XRD peak list (copper Kα), based on a DFT-relaxed cell (PBE, Alexandria).

Structure:
```
28
Lattice="6.7796 -3.9682 0.0000 6.7796 3.9682 0.0000 -4.5083 0.0000 8.5649" Properties=species:S:1:pos:R:3 pbc="T T T"
Ho 1.1949 0.6506 2.1546
Ho -1.0592 -0.6506 6.4371
Ho 10.1103 0.6506 2.1279
Ho 7.8561 -0.6506 6.4104
P 3.3898 1.9841 0.0000
P 3.2370 2.2333 4.3190
P 3.5599 2.2333 8.5284
P 1.1357 -1.9841 4.2825
P 5.4911 -2.2333 0.0365
P 5.8140 -2.2333 4.2460
Pt 5.6003 3.4442 0.6841
Pt 5.7049 3.4442 3.5984
Pt 1.0823 0.7373 5.0215
Pt 4.1687 1.4562 2.3174
Pt 0.9526 0.8369 8.0022
Pt 3.3984 1.1399 6.4237
Pt 3.3364 -0.7373 0.7391
Pt 7.1365 1.4562 1.9651
Pt 3.2067 -0.8369 3.7197
Pt 5.8443 0.8369 4.8452
Pt 1.9145 -1.4562 6.5998
Pt 5.7146 0.7373 7.8259
Pt 5.6526 -1.1399 2.1412
Pt 8.0984 -0.8369 0.5628
Pt 4.8823 -1.4562 6.2476
Pt 7.9687 -0.7373 3.5434
Pt 3.3462 -3.4442 4.9665
Pt 3.4507 -3.4442 7.8809
```

Largest 10 diffraction maxima, by angle, 2θ from 10° to 90°:
two_theta, I/Imax
30.90, 19
34.72, 19
35.67, 20
38.86, 58
39.00, 100
39.47, 63
39.89, 31
71.08, 20
71.36, 20
71.84, 20



No. 5
Ce2Cd16Pb: calculated XRD peak list (copper Kα), based on a DFT-relaxed cell (PBE, Alexandria).

Structure:
```
19
Lattice="5.1420 2.9687 4.9260 -5.1420 2.9687 4.9260 0.0000 -5.9375 4.9260" Properties=species:S:1:pos:R:3 pbc="T T T"
Ce 0.0000 0.0000 14.7771
Ce 0.0000 0.0000 4.9260
Cd 0.0000 -2.8595 2.7107
Cd -2.4764 1.4298 2.7107
Cd -2.4446 -1.4114 7.3911
Cd 0.0000 -3.1556 7.2216
Cd -2.7329 1.5778 7.2216
Cd -1.6063 -2.7569 9.8780
Cd -3.1907 -0.0127 9.8780
Cd 2.4764 1.4298 2.7107
Cd 0.0000 0.0000 8.3396
Cd 2.4446 -1.4114 7.3911
Cd 0.0000 2.8227 7.3911
Cd 1.6063 -2.7569 9.8780
Cd -1.5844 2.7696 9.8780
Cd 2.7329 1.5778 7.2216
Cd 3.1907 -0.0127 9.8780
Cd 1.5844 2.7696 9.8780
Pb 0.0000 0.0000 11.3795
```

Largest 10 diffraction maxima, by angle, 2θ from 10° to 90°:
two_theta, I/Imax
30.10, 45
31.46, 24
34.90, 62
35.30, 100
36.48, 55
39.54, 69
40.62, 23
56.88, 19
62.58, 28
64.90, 27



No. 6
LiTm5In4: calculated XRD peak list (copper Kα), based on a DFT-relaxed cell (PBE, Alexandria).

Structure:
```
10
Lattice="3.6574 0.0000 0.0000 0.0000 3.6574 0.0000 0.0000 0.0000 18.9907" Properties=species:S:1:pos:R:3 pbc="T T T"
Li 0.0000 0.0000 0.0000
Tm 1.8287 1.8287 1.8081
Tm 1.8287 1.8287 5.6390
Tm 1.8287 1.8287 9.4953
Tm 1.8287 1.8287 13.3517
Tm 1.8287 1.8287 17.1826
In 0.0000 0.0000 3.6753
In 0.0000 0.0000 7.5662
In 0.0000 0.0000 11.4245
In 0.0000 0.0000 15.3154
```

Largest 10 diffraction maxima, by angle, 2θ from 10° to 90°:
two_theta, I/Imax
24.34, 9
34.03, 100
34.69, 48
47.90, 9
49.87, 17
60.48, 18
61.75, 35
71.64, 11
83.23, 8
83.60, 8